Calculated powder diffraction line list
Compound: Cs2Mg2TlF7
Radiation: λ = 1.5418 Å (Cu Kα)
Structure: a DFT-relaxed cell (GGA-PBE, Alexandria)
No peak broadening, texture or thermal motion is included.

Top 12 peaks for 2θ = 10–80°, by intensity:
- 28.59°, intensity 100, hkl 1 0 5
- 38.13°, intensity 59, hkl 1 1 6
- 30.08°, intensity 57, hkl 1 1 0
- 21.49°, intensity 51, hkl 1 0 1
- 52.50°, intensity 38, hkl 2 1 5
- 43.05°, intensity 37, hkl 2 0 0
- 22.88°, intensity 25, hkl 0 0 6
- 48.07°, intensity 16, hkl 1 0 11
- 33.86°, intensity 15, hkl 1 1 4
- 75.63°, intensity 14, hkl 3 1 6
- 49.70°, intensity 14, hkl 1 1 10
- 59.20°, intensity 14, hkl 2 0 10

abc: 4.202 4.202 23.318
angles: 90.00 90.00 90.00
Space group I4/mmm (No. 139)
One atom of each set of equivalent atoms:
Cs: 0.000 0.000 0.185
Mg: 0.000 0.000 0.412
Tl: 0.000 0.000 0.000
F: 0.000 0.000 0.326
F: 0.000 0.000 0.500
F: 0.000 0.500 0.088